Diffraction record for CaDyMo2O8. The powder diffractogram is calculated, not measured: it uses a structure optimized by DFT (PBE+U) and Cu Kα.
Kinematic intensities with the Lorentz-polarization factor, no thermal factor.

Structure:
Cell lengths 5.254, 5.254, 11.407 Å; angles 90.00, 90.00, 90.00 degrees
Space group I-4 (No. 82)
Symmetry-distinct sites (fractional):
Ca1 0.000 0.000 0.000 (multiplicity 2)
Dy1 0.000 0.500 0.250 (multiplicity 2)
Mo1 0.000 0.000 0.500 (multiplicity 2)
Mo2 0.000 0.500 0.750 (multiplicity 2)
O1 0.159 0.243 0.415 (multiplicity 8)
O2 0.174 0.759 0.831 (multiplicity 8)

Principal peaks in the range 2θ from 10° to 90°, low angle first:
d [Å], I_rel
4.772, 13
3.113, 100
2.852, 14
2.627, 18
1.932, 31
1.858, 14
1.693, 16
1.595, 27
1.557, 11
1.251, 12